No. 1
Starting from the GGA-PBE geometry in Alexandria, the powder XRD pattern of Na4Hg11 was simulated for Cu Kα X-rays.
Peak positions follow from Bragg's law for the DFT cell and can differ from measured ones.

Structural model:
a b c (Å): 11.4261 11.4261 6.1801
angles (deg): 90.00 90.00 90.00
Element x y z (fractional)
Na  0.0269  0.3504  0.0000
Na  0.1496  0.5269  0.5000
Na  0.3504  0.0269  0.0000
Na  0.4731  0.8504  0.5000
Na  0.5269  0.1496  0.5000
Na  0.6496  0.9731  0.0000
Na  0.8504  0.4731  0.5000
Na  0.9731  0.6496  0.0000
Hg  0.0000  0.0000  0.5000
Hg  0.0416  0.2672  0.5000
Hg  0.0936  0.0936  0.0000
Hg  0.2025  0.7975  0.2477
Hg  0.2025  0.7975  0.7523
Hg  0.2328  0.5416  0.0000
Hg  0.2672  0.0416  0.5000
Hg  0.2975  0.2975  0.2523
Hg  0.2975  0.2975  0.7477
Hg  0.4064  0.5936  0.5000
Hg  0.4584  0.7672  0.0000
Hg  0.5000  0.5000  0.0000
Hg  0.5416  0.2328  0.0000
Hg  0.5936  0.4064  0.5000
Hg  0.7025  0.7025  0.2523
Hg  0.7025  0.7025  0.7477
Hg  0.7328  0.9584  0.5000
Hg  0.7672  0.4584  0.0000
Hg  0.7975  0.2025  0.2477
Hg  0.7975  0.2025  0.7523
Hg  0.9064  0.9064  0.0000
Hg  0.9584  0.7328  0.5000

Largest 12 diffraction maxima, low angle first, 10 to 90 degrees two-theta:
| h k l | 2θ/deg | d_spacing | I_rel |
| --- | --- | --- | --- |
| 1 1 0 | 10.95 | 8.079 | 58 |
| 3 0 1 | 27.51 | 3.242 | 33 |
| 4 1 0 | 32.30 | 2.771 | 100 |
| 2 0 2 | 32.96 | 2.718 | 58 |
| 3 3 0 | 33.27 | 2.693 | 26 |
| 2 1 2 | 33.90 | 2.644 | 71 |
| 4 1 1 | 35.50 | 2.529 | 64 |
| 3 3 1 | 36.39 | 2.469 | 38 |
| 2 2 2 | 36.61 | 2.454 | 43 |
| 4 1 3 | 55.56 | 1.654 | 36 |
| 6 1 2 | 57.41 | 1.605 | 27 |
| 6 3 2 | 62.24 | 1.492 | 27 |



No. 2
Starting from the GGA-PBE geometry in Alexandria, the powder XRD pattern of Ba2Cu5Pd5 was simulated for Cu Kα X-rays.
Peak positions follow from Bragg's law for the DFT cell and can differ from measured ones.

Structural model:
a b c (Å): 4.2851 5.4063 9.6473
angles (deg): 90.00 90.00 90.00
Element x y z (fractional)
Ba  0.0000  0.0000  0.0000
Ba  0.0000  0.5000  0.5000
Cu  0.5000  0.0000  0.5000
Cu  0.5000  0.2476  0.2528
Cu  0.5000  0.2476  0.7472
Cu  0.5000  0.7524  0.2528
Cu  0.5000  0.7524  0.7472
Pd  0.0000  0.0000  0.3343
Pd  0.0000  0.0000  0.6657
Pd  0.0000  0.5000  0.1821
Pd  0.0000  0.5000  0.8179
Pd  0.5000  0.5000  0.0000

Largest 12 diffraction maxima, low angle first, 10 to 90 degrees two-theta:
| h k l | 2θ/deg | d_spacing | I_rel |
| --- | --- | --- | --- |
| 1 1 1 | 28.14 | 3.172 | 19 |
| 0 1 3 | 32.40 | 2.763 | 30 |
| 0 2 0 | 33.14 | 2.703 | 18 |
| 0 2 2 | 38.16 | 2.358 | 15 |
| 1 1 3 | 38.77 | 2.323 | 100 |
| 1 2 0 | 39.41 | 2.286 | 40 |
| 2 0 0 | 42.18 | 2.143 | 35 |
| 1 2 2 | 43.82 | 2.066 | 18 |
| 1 3 3 | 62.98 | 1.476 | 23 |
| 0 2 6 | 67.82 | 1.382 | 15 |
| 3 1 3 | 74.85 | 1.269 | 19 |
| 2 2 6 | 83.19 | 1.161 | 19 |